Starting from the GGA-PBE geometry in Alexandria, the powder diffraction line list of Ac6Ag3Os was simulated for CuKα.

Peak list (10 most intense, 2θ from 15° to 90°, by angle)
3.501 Å, I = 100, hkl 1 0 2; 3.425 Å, I = 36, hkl 2 1 -1; 3.257 Å, I = 100, hkl 1 0 -4; 3.150 Å, I = 52, hkl 1 2 1; 3.034 Å, I = 37, hkl 1 1 -4; 2.798 Å, I = 34, hkl 0 2 3; 2.633 Å, I = 52, hkl 1 3 -1; 2.608 Å, I = 34, hkl 2 2 0; 2.327 Å, I = 47, hkl 3 1 -1; 1.893 Å, I = 37, hkl 2 3 -5

Structure:
Lattice parameters (Å, degrees): 7.7292 8.4048 13.0792 90.00 120.64 90.00
Fractional coordinates of all 20 atoms:
Ac 0.0790 0.0467 0.2427
Ac 0.0790 0.4533 0.7427
Ac 0.2179 0.6927 0.0727
Ac 0.2179 0.8073 0.5727
Ac 0.3732 0.1695 0.0636
Ac 0.3732 0.3305 0.5636
Ac 0.6268 0.6695 0.4364
Ac 0.6268 0.8305 0.9364
Ac 0.7821 0.1927 0.4273
Ac 0.7821 0.3073 0.9273
Ac 0.9210 0.5467 0.2573
Ac 0.9210 0.9533 0.7573
Ag 0.3250 0.1181 0.7697
Ag 0.3250 0.3819 0.2697
Ag 0.5000 0.0000 0.5000
Ag 0.5000 0.5000 0.0000
Ag 0.6750 0.6181 0.7303
Ag 0.6750 0.8819 0.2303
Os 0.0000 0.0000 0.0000
Os 0.0000 0.5000 0.5000